Entry 1:
Structure and simulated X-ray diffraction stick pattern of TaIn3O7 (DFT lattice parameters and positions (PBE); Cu Kα).
No peak broadening, texture or thermal motion is included.

Atomic structure:
```
data_TaIn3O7
_space_group_name_H-M_alt 'P n m a'
_space_group_IT_number 62
_cell_length_a 7.3193
_cell_length_b 10.5118
_cell_length_c 7.4939
_cell_angle_alpha 90.00
_cell_angle_beta 90.00
_cell_angle_gamma 90.00
loop_
_space_group_symop_operation_xyz
'x,y,z'
'-x,-y,-z'
'-x+1/2,-y,z+1/2'
'x+1/2,y,-z+1/2'
'x+1/2,-y+1/2,-z+1/2'
'-x+1/2,y+1/2,z+1/2'
'-x,y+1/2,-z'
'x,-y+1/2,z'
loop_
_atom_site_label
_atom_site_fract_x
_atom_site_fract_y
_atom_site_fract_z
Ta1 0.0008 0.2500 0.2422
In1 0.0075 0.7500 0.2979
In2 0.2494 0.5086 0.9845
O1 0.0244 0.1098 0.0769
O2 0.0246 0.6229 0.5439
O3 0.2463 0.1160 0.7381
O4 0.2490 0.2500 0.3169
```

Top 6 peaks for 2θ from 10° to 90°, sorted by position:
- 29.27 deg, 3.051 Å, rel. 100
- 29.75 deg, 3.003 Å, rel. 93
- 34.12 deg, 2.628 Å, rel. 25
- 34.25 deg, 2.618 Å, rel. 43
- 49.12 deg, 1.855 Å, rel. 55
- 58.85 deg, 1.569 Å, rel. 27

Entry 2:
Structure and simulated X-ray diffraction stick pattern of TaIn3O7 (DFT lattice parameters and positions (PBE); Cu Kα).
No peak broadening, texture or thermal motion is included.

Atomic structure:
```
data_TaIn3O7
_space_group_name_H-M_alt 'P -1'
_space_group_IT_number 2
_cell_length_a 6.2926
_cell_length_b 6.3136
_cell_length_c 7.4922
_cell_angle_alpha 73.14
_cell_angle_beta 89.77
_cell_angle_gamma 81.87
loop_
_space_group_symop_operation_xyz
'x,y,z'
'-x,-y,-z'
loop_
_atom_site_label
_atom_site_fract_x
_atom_site_fract_y
_atom_site_fract_z
Ta1 0.0000 0.0000 0.0000
Ta2 0.0000 0.0000 0.5000
In1 0.2625 0.4571 0.3874
In2 0.2662 0.4684 0.8832
In3 0.4705 0.9934 0.2469
O1 0.0674 0.6452 0.6125
O2 0.0809 0.9532 0.2629
O3 0.0951 0.6719 0.0453
O4 0.2917 0.0830 0.9492
O5 0.2932 0.0580 0.5211
O6 0.4441 0.3406 0.1660
O7 0.4735 0.3557 0.6617
```

Top 6 peaks for 2θ from 10° to 90°, sorted by position:
- 29.25 deg, 3.054 Å, rel. 100
- 29.46 deg, 3.032 Å, rel. 98
- 29.90 deg, 2.989 Å, rel. 94
- 30.37 deg, 2.943 Å, rel. 94
- 34.42 deg, 2.605 Å, rel. 85
- 58.37 deg, 1.581 Å, rel. 53